1.
Ti4MnGa: calculated XRD peak list (copper Kα), based on a DFT-relaxed cell (GGA-PBE, Alexandria).
Neutral-atom scattering factors, no anomalous dispersion.

The 10 most intense peaks (10 to 80 degrees two-theta), sorted by position:
- 2θ 25.14, intensity 55
- 2θ 28.24, intensity 17
- 2θ 33.29, intensity 9
- 2θ 40.92, intensity 100
- 2θ 45.01, intensity 53
- 2θ 48.63, intensity 9
- 2θ 50.46, intensity 19
- 2θ 62.45, intensity 18
- 2θ 74.52, intensity 16
- 2θ 77.40, intensity 19

Cell and atoms:
a = 6.8147 Å, b = 6.8147 Å, c = 6.8147 Å
α = 37.76°, β = 37.76°, γ = 37.76°
Element x y z (fractional)
Ti  0.1133  0.1133  0.1133
Ti  0.3601  0.3601  0.3601
Ti  0.6399  0.6399  0.6399
Ti  0.8867  0.8867  0.8867
Mn  0.0000  0.0000  0.0000
Ga  0.5000  0.5000  0.5000


2.
TmMnGa4: calculated XRD peak list (copper Kα), based on a DFT-relaxed cell (GGA-PBE, Alexandria).
Neutral-atom scattering factors, no anomalous dispersion.

The 10 most intense peaks (10 to 80 degrees two-theta), sorted by position:
- 2θ 23.55, intensity 22
- 2θ 29.22, intensity 62
- 2θ 29.68, intensity 24
- 2θ 31.06, intensity 27
- 2θ 32.97, intensity 70
- 2θ 37.63, intensity 47
- 2θ 38.34, intensity 100
- 2θ 40.62, intensity 65
- 2θ 42.24, intensity 22
- 2θ 45.46, intensity 53

Cell and atoms:
a = 6.1270 Å, b = 6.1270 Å, c = 7.5704 Å
α = 93.36°, β = 93.36°, γ = 54.56°
Element x y z (fractional)
Tm  0.1266  0.8734  0.7500
Tm  0.8734  0.1266  0.2500
Mn  0.0000  0.5000  0.5000
Mn  0.5000  0.0000  0.0000
Ga  0.0868  0.4021  0.8367
Ga  0.3092  0.5897  0.3897
Ga  0.4021  0.0868  0.3367
Ga  0.4103  0.6908  0.1103
Ga  0.5897  0.3092  0.8897
Ga  0.5979  0.9132  0.6633
Ga  0.6908  0.4103  0.6103
Ga  0.9132  0.5979  0.1633


3.
Tm4Mn3Ga16: calculated XRD peak list (copper Kα), based on a DFT-relaxed cell (GGA-PBE, Alexandria).
Neutral-atom scattering factors, no anomalous dispersion.

The 10 most intense peaks (10 to 80 degrees two-theta), sorted by position:
- 2θ 20.82, intensity 18
- 2θ 30.68, intensity 14
- 2θ 31.77, intensity 23
- 2θ 33.71, intensity 44
- 2θ 38.29, intensity 100
- 2θ 40.08, intensity 24
- 2θ 42.37, intensity 61
- 2θ 59.74, intensity 27
- 2θ 61.46, intensity 19
- 2θ 74.78, intensity 24

Cell and atoms:
a = 6.0343 Å, b = 6.0343 Å, c = 11.2473 Å
α = 90.00°, β = 90.00°, γ = 90.00°
Element x y z (fractional)
Tm  0.0000  0.5000  0.1894
Tm  0.0000  0.5000  0.8106
Tm  0.5000  0.0000  0.1894
Tm  0.5000  0.0000  0.8106
Mn  0.0000  0.0000  0.0000
Mn  0.0000  0.5000  0.5000
Mn  0.5000  0.0000  0.5000
Ga  0.0000  0.0000  0.2168
Ga  0.0000  0.0000  0.7832
Ga  0.2497  0.2497  0.3784
Ga  0.2497  0.2497  0.6216
Ga  0.2497  0.7503  0.3784
Ga  0.2497  0.7503  0.6216
Ga  0.2834  0.2834  0.0000
Ga  0.2834  0.7166  0.0000
Ga  0.5000  0.5000  0.1939
Ga  0.5000  0.5000  0.8061
Ga  0.7166  0.2834  0.0000
Ga  0.7166  0.7166  0.0000
Ga  0.7503  0.2497  0.3784
Ga  0.7503  0.2497  0.6216
Ga  0.7503  0.7503  0.3784
Ga  0.7503  0.7503  0.6216


4.
Tm2MnGa5: calculated XRD peak list (copper Kα), based on a DFT-relaxed cell (GGA-PBE, Alexandria).
Neutral-atom scattering factors, no anomalous dispersion.

The 10 most intense peaks (10 to 80 degrees two-theta), sorted by position:
- 2θ 20.30, intensity 18
- 2θ 30.48, intensity 29
- 2θ 36.90, intensity 100
- 2θ 41.27, intensity 41
- 2θ 45.91, intensity 12
- 2θ 59.79, intensity 12
- 2θ 63.43, intensity 15
- 2θ 67.34, intensity 10
- 2θ 72.37, intensity 21
- 2θ 78.96, intensity 11

Cell and atoms:
a = 6.1866 Å, b = 6.1866 Å, c = 7.9069 Å
α = 90.00°, β = 90.00°, γ = 90.00°
Element x y z (fractional)
Tm  0.0000  0.5000  0.0000
Tm  0.0000  0.5000  0.5000
Tm  0.5000  0.0000  0.0000
Tm  0.5000  0.0000  0.5000
Mn  0.0000  0.0000  0.1265
Mn  0.5000  0.5000  0.6265
Ga  0.0000  0.0000  0.4716
Ga  0.2181  0.2181  0.7504
Ga  0.2181  0.7819  0.7504
Ga  0.2819  0.2819  0.2504
Ga  0.2819  0.7181  0.2504
Ga  0.5000  0.5000  0.9716
Ga  0.7181  0.2819  0.2504
Ga  0.7181  0.7181  0.2504
Ga  0.7819  0.2181  0.7504
Ga  0.7819  0.7819  0.7504


5.
MnV7Ga3: calculated XRD peak list (copper Kα), based on a DFT-relaxed cell (GGA-PBE, Alexandria).
Neutral-atom scattering factors, no anomalous dispersion.

The 10 most intense peaks (10 to 80 degrees two-theta), sorted by position:
- 2θ 23.81, intensity 10
- 2θ 28.49, intensity 10
- 2θ 42.35, intensity 27
- 2θ 42.46, intensity 53
- 2θ 42.72, intensity 100
- 2θ 44.18, intensity 30
- 2θ 44.48, intensity 15
- 2θ 44.95, intensity 43
- 2θ 45.29, intensity 10
- 2θ 64.86, intensity 17

Cell and atoms:
a = 2.5950 Å, b = 12.0993 Å, c = 9.9463 Å
α = 90.00°, β = 90.38°, γ = 90.00°
Element x y z (fractional)
Mn  0.1588  0.2500  0.0506
Mn  0.8412  0.7500  0.9494
V  0.1555  0.5847  0.0607
V  0.1555  0.9153  0.0607
V  0.3847  0.5918  0.5474
V  0.3847  0.9082  0.5474
V  0.4803  0.7500  0.1937
V  0.4898  0.0953  0.1825
V  0.4898  0.4047  0.1825
V  0.5102  0.5953  0.8175
V  0.5102  0.9047  0.8175
V  0.5197  0.2500  0.8063
V  0.6153  0.0918  0.4526
V  0.6153  0.4082  0.4526
V  0.8445  0.0847  0.9393
V  0.8445  0.4153  0.9393
Ga  0.0581  0.2500  0.3226
Ga  0.0606  0.0765  0.6868
Ga  0.0606  0.4235  0.6868
Ga  0.9394  0.5765  0.3132
Ga  0.9394  0.9235  0.3132
Ga  0.9419  0.7500  0.6774


6.
Mn2V3Ga2: calculated XRD peak list (copper Kα), based on a DFT-relaxed cell (GGA-PBE, Alexandria).
Neutral-atom scattering factors, no anomalous dispersion.

The 10 most intense peaks (10 to 80 degrees two-theta), sorted by position:
- 2θ 25.07, intensity 5
- 2θ 35.34, intensity 5
- 2θ 43.23, intensity 100
- 2θ 43.48, intensity 93
- 2θ 47.99, intensity 1
- 2θ 62.99, intensity 28
- 2θ 79.16, intensity 3
- 2θ 79.29, intensity 15
- 2θ 79.47, intensity 28
- 2θ 79.99, intensity 11

Cell and atoms:
a = 6.4052 Å, b = 6.4052 Å, c = 6.4052 Å
α = 38.14°, β = 38.14°, γ = 38.14°
Element x y z (fractional)
Mn  0.2162  0.2162  0.2162
Mn  0.7838  0.7838  0.7838
V  0.3482  0.3482  0.3482
V  0.5000  0.5000  0.5000
V  0.6518  0.6518  0.6518
Ga  0.0766  0.0766  0.0766
Ga  0.9234  0.9234  0.9234


7.
Mn2V6Ga: calculated XRD peak list (copper Kα), based on a DFT-relaxed cell (GGA-PBE, Alexandria).
Neutral-atom scattering factors, no anomalous dispersion.

The 10 most intense peaks (10 to 80 degrees two-theta), sorted by position:
- 2θ 31.68, intensity 12
- 2θ 33.87, intensity 11
- 2θ 39.17, intensity 100
- 2θ 40.59, intensity 21
- 2θ 45.80, intensity 63
- 2θ 46.87, intensity 28
- 2θ 50.87, intensity 13
- 2θ 62.83, intensity 11
- 2θ 66.77, intensity 18
- 2θ 70.83, intensity 9

Cell and atoms:
a = 3.9625 Å, b = 3.9625 Å, c = 8.0545 Å
α = 90.00°, β = 90.00°, γ = 90.00°
Element x y z (fractional)
Mn  0.0000  0.0000  0.1350
Mn  0.0000  0.0000  0.8650
V  0.0000  0.0000  0.5000
V  0.0000  0.5000  0.2846
V  0.0000  0.5000  0.7154
V  0.5000  0.0000  0.2846
V  0.5000  0.0000  0.7154
V  0.5000  0.5000  0.5000
Ga  0.5000  0.5000  0.0000


8.
MnV5Ga5: calculated XRD peak list (copper Kα), based on a DFT-relaxed cell (GGA-PBE, Alexandria).
Neutral-atom scattering factors, no anomalous dispersion.

The 10 most intense peaks (10 to 80 degrees two-theta), sorted by position:
- 2θ 37.73, intensity 98
- 2θ 40.32, intensity 100
- 2θ 41.17, intensity 75
- 2θ 41.60, intensity 25
- 2θ 41.80, intensity 62
- 2θ 52.52, intensity 21
- 2θ 60.12, intensity 39
- 2θ 68.82, intensity 17
- 2θ 72.74, intensity 22
- 2θ 74.45, intensity 15

Cell and atoms:
a = 5.0332 Å, b = 5.0332 Å, c = 8.5594 Å
α = 101.56°, β = 101.56°, γ = 51.65°
Element x y z (fractional)
Mn  0.0000  0.0000  0.0000
V  0.1089  0.1089  0.2517
V  0.2265  0.2265  0.8984
V  0.5000  0.5000  0.0000
V  0.7735  0.7735  0.1016
V  0.8911  0.8911  0.7483
Ga  0.0000  0.0000  0.5000
Ga  0.3019  0.3019  0.5886
Ga  0.3987  0.3987  0.2608
Ga  0.6013  0.6013  0.7392
Ga  0.6981  0.6981  0.4114